Theoretical powder diffraction line list
Compound: CoTePb2O6
Radiation: λ = 1.5418 Å (Cu Kα)
Structure: a crystal structure in OQMD, relaxed with GGA+U
Peak positions follow from Bragg's law for the DFT cell and can differ from measured ones.

Structure:
```
data_CoTePb2O6
_chemical_formula_sum 'Co3 Te3 Pb6 O18'
_symmetry_space_group_name_H-M 'R -3'
_symmetry_Int_Tables_number 148
_symmetry_space_group_name_Hall '-R 3'
_cell_length_a 5.6986
_cell_length_b 5.6986
_cell_length_c 13.7547
_cell_angle_alpha 90.00
_cell_angle_beta 90.00
_cell_angle_gamma 120.00
loop_
_atom_site_label
_atom_site_fract_x
_atom_site_fract_y
_atom_site_fract_z
Co1 0.0000 0.0000 0.0000
Te1 0.0000 0.0000 0.5000
Pb1 0.0000 0.0000 0.2507
O1 0.0152 0.5573 0.2482
```

Largest 12 diffraction maxima, low angle first, 10 to 80 degrees two-theta:
two_theta, I_rel, (hkl)
22.2, 25.4, 0 1 2
31.4, 100.0, 1 1 0
31.7, 99.6, 1 0 4
38.8, 17.5, 2 0 2
45.2, 53.7, 0 2 4
55.9, 22.0, 3 0 0
56.1, 41.5, 2 1 4
56.7, 19.8, 0 1 8
65.5, 16.2, 2 2 0
66.3, 16.6, 2 0 8
74.6, 17.6, 1 3 4
75.2, 18.0, 3 -2 8